# Na3Zn3As3O16
Theoretical powder XRD pattern, λ = 1.5418 Å (Cu Kα). Input: DFT lattice parameters and positions (PBE).
Neutral-atom scattering factors, no anomalous dispersion.

Peak list (12 most intense, 2θ = 10–90°, in order of rising 2θ)
2theta, d (Å), I/Imax, hkl
13.36, 6.628, 55, 1 1 0
13.49, 6.564, 31, 0 1 2
19.03, 4.664, 34, 2 0 2
23.30, 3.817, 100, 1 2 2
23.55, 3.778, 38, 1 0 4
30.21, 2.958, 19, 3 1 2
30.39, 2.941, 20, 2 1 4
33.16, 2.701, 66, 0 4 2
33.60, 2.667, 24, 0 0 6
35.88, 2.503, 24, 2 3 2
55.46, 1.657, 21, 4 4 0
56.04, 1.641, 23, 0 4 8

Cell lengths 13.2551, 13.2551, 16.0026 Å; angles 90.00, 90.00, 120.00 degrees
Space group R3c (No. 161, hexagonal axes)
Inequivalent atoms, fractional coordinates:
1 Na 0.2178 0.4390 0.0000 x18
2 Zn 0.0026 0.2462 0.6387 x18
3 As 0.0834 0.4154 0.8068 x18
4 O 0.0000 0.0000 0.3352 x6
5 O 0.0030 0.2811 0.7596 x18
6 O 0.0333 0.5040 0.7683 x18
7 O 0.0518 0.1034 0.4164 x18
8 O 0.0612 0.3936 0.9133 x18
9 O 0.1835 0.0806 0.1238 x18



# Ba2LuTaO6
Theoretical powder XRD pattern, λ = 1.5418 Å (Cu Kα). Input: DFT lattice parameters and positions (PBE).
Neutral-atom scattering factors, no anomalous dispersion.

Peak list (10 most intense, 2θ = 10–90°, in order of rising 2θ)
2theta, d (Å), I/Imax, hkl
21.04, 4.222, 5, 2 0 0
29.93, 2.985, 100, 2 2 0
42.84, 2.111, 28, 4 0 0
48.20, 1.888, 2, 4 2 0
53.14, 1.724, 41, 4 2 2
62.19, 1.493, 18, 4 4 0
66.43, 1.407, 1, 6 0 0
70.54, 1.335, 18, 6 2 0
78.48, 1.219, 6, 4 4 4
86.19, 1.128, 22, 6 4 2

Cell lengths 8.4437, 8.4437, 8.4437 Å; angles 90.00, 90.00, 90.00 degrees
Space group Fm-3m (No. 225)
Inequivalent atoms, fractional coordinates:
1 Ba 0.2500 0.2500 0.2500 x8
2 Lu 0.0000 0.0000 0.0000 x4
3 Ta 0.0000 0.0000 0.5000 x4
4 O 0.0000 0.0000 0.2612 x24



# Cu6Hg3Sb4S12
Theoretical powder XRD pattern, λ = 1.5418 Å (Cu Kα). Input: DFT lattice parameters and positions (PBE).
Neutral-atom scattering factors, no anomalous dispersion.

Peak list (12 most intense, 2θ = 10–90°, in order of rising 2θ)
2theta, d (Å), I/Imax, hkl
12.49, 7.085, 5, 1 1 0
17.15, 5.171, 6, 0 2 1
27.82, 3.206, 100, 0 0 3
32.24, 2.777, 26, 4 -1 2
46.24, 1.964, 50, 1 3 4
54.80, 1.675, 29, 5 2 3
54.88, 1.673, 10, 4 -1 5
57.45, 1.604, 5, 2 6 2
67.46, 1.388, 7, 8 -2 4
74.43, 1.275, 11, 2 6 5
74.58, 1.272, 5, 1 3 7
85.66, 1.134, 6, 6 5 4

Cell lengths 14.1705, 14.1705, 9.6042 Å; angles 90.00, 90.00, 120.00 degrees
Space group R3 (No. 146, hexagonal axes)
Inequivalent atoms, fractional coordinates:
1 Cu 0.0325 0.4426 0.0000 x9
2 Cu 0.0524 0.8920 0.6757 x9
3 Hg 0.1098 0.7496 0.0049 x9
4 Sb 0.0000 0.0000 0.3101 x3
5 Sb 0.1649 0.0473 0.9937 x9
6 S 0.0262 0.4199 0.7605 x9
7 S 0.0598 0.8840 0.4334 x9
8 S 0.1050 0.7616 0.7304 x9
9 S 0.1900 0.0617 0.7380 x9



# Cs2TaAgCl6
Theoretical powder XRD pattern, λ = 1.5418 Å (Cu Kα). Input: DFT lattice parameters and positions (PBE).
Neutral-atom scattering factors, no anomalous dispersion.

Peak list (12 most intense, 2θ = 10–90°, in order of rising 2θ)
2theta, d (Å), I/Imax, hkl
14.52, 6.100, 6, 1 1 1
23.82, 3.735, 100, 2 2 0
29.28, 3.050, 6, 2 2 2
33.94, 2.641, 51, 4 0 0
41.89, 2.157, 45, 4 2 2
48.76, 1.868, 35, 4 4 0
54.97, 1.671, 21, 6 2 0
60.73, 1.525, 12, 4 4 4
66.19, 1.412, 24, 6 4 2
76.51, 1.245, 12, 6 6 0
81.48, 1.181, 15, 8 4 0
86.39, 1.126, 6, 6 6 4

Cell lengths 10.5653, 10.5653, 10.5653 Å; angles 90.00, 90.00, 90.00 degrees
Space group Fm-3m (No. 225)
Inequivalent atoms, fractional coordinates:
1 Cs 0.2500 0.2500 0.2500 x8
2 Ta 0.0000 0.0000 0.0000 x4
3 Ag 0.0000 0.0000 0.5000 x4
4 Cl 0.0000 0.0000 0.2363 x24



# LiSn2P5O15
Theoretical powder XRD pattern, λ = 1.5418 Å (Cu Kα). Input: DFT lattice parameters and positions (PBE).
Neutral-atom scattering factors, no anomalous dispersion.

Peak list (12 most intense, 2θ = 10–90°, in order of rising 2θ)
2theta, d (Å), I/Imax, hkl
14.26, 6.209, 26, 0 0 2
17.37, 5.107, 31, 1 0 0
18.36, 4.833, 37, 1 1 -1
23.07, 3.855, 94, 0 2 2
23.54, 3.779, 100, 1 1 -3
24.16, 3.684, 31, 1 2 -1
25.11, 3.546, 26, 1 2 0
26.58, 3.353, 27, 1 0 2
28.13, 3.172, 47, 0 2 3
32.41, 2.763, 55, 1 3 0
32.78, 2.732, 35, 1 2 -4
42.71, 2.117, 31, 0 4 3

Cell lengths 5.5477, 9.8542, 13.4909 Å; angles 90.00, 113.00, 90.00 degrees
Space group Pc (No. 7)
Inequivalent atoms, fractional coordinates:
1 Li 0.0000 0.0168 0.0000 x2
2 Sn 0.8849 0.3064 0.5574 x2
3 Sn 0.9481 0.3109 0.8891 x2
4 P 0.2535 0.1946 0.3943 x2
5 P 0.3772 0.4614 0.3293 x2
6 P 0.4561 0.4596 0.1232 x2
7 P 0.5838 0.1898 0.0605 x2
8 P 0.9315 0.0015 0.2257 x2
9 O 0.0759 0.1652 0.4521 x2
10 O 0.1694 0.1077 0.2852 x2
11 O 0.1898 0.3477 0.3483 x2
12 O 0.1954 0.4615 0.0285 x2
13 O 0.2294 0.4069 0.8034 x2
14 O 0.2908 0.1680 0.0043 x2
15 O 0.4081 0.3979 0.2250 x2
16 O 0.5444 0.1767 0.4549 x2
17 O 0.6103 0.4110 0.6523 x2
18 O 0.6416 0.3428 0.1071 x2
19 O 0.6435 0.4610 0.4211 x2
20 O 0.6797 0.1012 0.1695 x2
21 O 0.7561 0.1667 0.9996 x2
22 O 0.8761 0.0807 0.8077 x2
23 O 0.9984 0.0664 0.6400 x2